Starting from a GGA-PBE-relaxed structure, the X-ray diffraction stick pattern of MnNb2PtC was simulated for a wavelength of 1.5418 Å.
Lines closer than 0.1° are merged.

The 10 most intense peaks (15° ≤ 2θ ≤ 90°), low angle first:
| 2θ (°) | intensity |
| --- | --- |
| 20.6 | 18 |
| 31.2 | 19 |
| 37.7 | 100 |
| 41.9 | 41 |
| 47.4 | 14 |
| 60.7 | 13 |
| 65.1 | 21 |
| 73.7 | 27 |
| 80.5 | 12 |
| 81.6 | 10 |

Atomic structure:
Lattice parameters (Å, degrees): 4.3130 4.3130 3.8366 90.00 90.00 90.00
Positions (direct):
Mn: 0.0000 0.0000 0.0000
Nb: 0.0000 0.5000 0.5000
Nb: 0.5000 0.0000 0.5000
Pt: 0.5000 0.5000 0.0000
C: 0.0000 0.0000 0.5000